1.
# B2Mo
Calculated powder X-ray diffraction pattern, Cu Kα, 1.54184 Å. Input: DFT lattice parameters and positions (GGA-PBE).

The 10 most intense peaks (2θ from 10° to 90°), low angle first:
Position (°2θ)	I/Imax
25.49	58
34.47	100
35.28	28
40.58	39
46.00	58
49.15	37
61.22	30
67.41	24
68.28	14
84.72	17

Atomic structure:
abc: 7.2039 7.2039 7.2039
angles: 24.26 24.26 24.26
Fractional coordinates of all 6 atoms:
B: 0.1678 0.1678 0.1678
B: 0.3184 0.3184 0.3184
B: 0.6816 0.6816 0.6816
B: 0.8322 0.8322 0.8322
Mo: 0.4244 0.4244 0.4244
Mo: 0.5756 0.5756 0.5756

***

2.
# RbLiCu2H3S2O10
Calculated powder X-ray diffraction pattern, Cu Kα, 1.54184 Å. Input: DFT lattice parameters and positions (GGA-PBE).

The 10 most intense peaks (2θ from 10° to 90°), low angle first:
Position (°2θ)	I/Imax
16.37	52
18.15	78
18.27	100
26.38	64
26.57	69
28.04	60
31.00	39
31.45	71
38.17	46
44.42	37

Atomic structure:
abc: 6.2024 6.3642 7.9627
angles: 68.03 67.08 60.92
Fractional coordinates of all 19 atoms:
Rb: 0.0000 0.0000 0.0000
Li: 0.3396 0.8640 0.4541
Cu: 0.4198 0.2650 0.4963
Cu: 0.8202 0.2666 0.4959
H: 0.2116 0.2980 0.2809
H: 0.7502 0.7876 0.7155
H: 0.8750 0.7371 0.5132
S: 0.3811 0.4277 0.8114
S: 0.5905 0.6324 0.1881
O: 0.1822 0.2211 0.4161
O: 0.2754 0.3010 0.7528
O: 0.2972 0.3930 0.0144
O: 0.2977 0.6917 0.7131
O: 0.3088 0.7290 0.2667
O: 0.6720 0.3028 0.7524
O: 0.6735 0.6713 0.9857
O: 0.6929 0.3417 0.2737
O: 0.6950 0.7295 0.2683
O: 0.7769 0.8688 0.5812

***

3.
# LaBi5O9
Calculated powder X-ray diffraction pattern, Cu Kα, 1.54184 Å. Input: DFT lattice parameters and positions (GGA-PBE).

The 10 most intense peaks (2θ from 10° to 90°), low angle first:
Position (°2θ)	I/Imax
25.98	28
26.70	23
28.73	84
28.85	100
29.80	28
30.65	56
45.10	43
45.76	23
53.45	21
55.01	56

Atomic structure:
abc: 9.5994 9.5994 6.9984
angles: 98.43 98.43 23.84
Fractional coordinates of all 15 atoms:
La: 0.0000 0.0000 0.0000
Bi: 0.1568 0.1568 0.4021
Bi: 0.3296 0.3296 0.0872
Bi: 0.4891 0.4891 0.5077
Bi: 0.6662 0.6662 0.8747
Bi: 0.8230 0.8230 0.6151
O: 0.0417 0.0417 0.3798
O: 0.1321 0.1321 0.0791
O: 0.2372 0.2372 0.7988
O: 0.3379 0.3379 0.4488
O: 0.4472 0.4472 0.1290
O: 0.5457 0.5457 0.8213
O: 0.6425 0.6425 0.5489
O: 0.8497 0.8497 0.9503
O: 0.9384 0.9384 0.6533